Entry 1:
Diffraction record for CsMnRe2S8. The powder diffraction line list is theoretical, not measured: it uses the GGA-PBE geometry in Alexandria and Cu Kα, 1.54184 Å.
Kinematic intensities with the Lorentz-polarization factor, no thermal factor.

Main lines, by angle (10 to 90 degrees two-theta):
d 5.003, I 20, hkl 0 1 2
d 4.255, I 100, hkl 1 0 4
d 3.113, I 13, hkl 0 0 9
d 3.093, I 40, hkl 1 1 0
d 2.932, I 28, hkl 0 1 8
d 2.502, I 20, hkl 0 2 4
d 2.127, I 12, hkl 2 0 8
d 1.945, I 22, hkl 2 1 4
d 1.863, I 19, hkl 2 -1 12
d 1.786, I 18, hkl 3 0 0

Cell and atoms:
```
data_CsMnRe2S8
_chemical_formula_sum 'Cs3 Mn3 Re6 S24'
_space_group_name_H-M_alt 'R -3'
_space_group_IT_number 148
_space_group_name_Hall '-R 3'
_cell_length_a 6.1853
_cell_length_b 6.1853
_cell_length_c 28.0145
_cell_angle_alpha 90.00
_cell_angle_beta 90.00
_cell_angle_gamma 120.00
loop_
_atom_site_label
_atom_site_type_symbol
_atom_site_fract_x
_atom_site_fract_y
_atom_site_fract_z
Cs1 Cs 0.0000 0.0000 0.0000
Mn1 Mn 0.0000 0.0000 0.5000
Re1 Re 0.0000 0.0000 0.2384
S1 S 0.0000 0.0000 0.3158
S2 S 0.0209 0.3761 0.1193
```

***

Entry 2:
Diffraction record for Cs2K4RbNa. The powder diffraction line list is theoretical, not measured: it uses the GGA-PBE geometry in Alexandria and Cu Kα, 1.54184 Å.
Kinematic intensities with the Lorentz-polarization factor, no thermal factor.

Main lines, by angle (10 to 90 degrees two-theta):
d 5.935, I 38, hkl 2 2 0
d 5.728, I 15, hkl 1 1 1
d 4.466, I 57, hkl 0 4 0
d 4.243, I 24, hkl 1 3 1
d 4.134, I 17, hkl 2 2 -2
d 4.021, I 100, hkl 0 0 2
d 3.971, I 50, hkl 4 0 0
d 2.988, I 80, hkl 0 4 2
d 2.968, I 40, hkl 4 4 0
d 1.952, I 16, hkl 4 8 -2

Cell and atoms:
```
data_Cs2K4RbNa
_chemical_formula_sum 'Cs8 K16 Rb4 Na4'
_space_group_name_H-M_alt 'C 1 2/c 1'
_space_group_IT_number 15
_space_group_name_Hall '-C 2yc'
_cell_length_a 18.382
_cell_length_b 17.866
_cell_length_c 9.326
_cell_angle_alpha 90.00
_cell_angle_beta 120.22
_cell_angle_gamma 90.00
loop_
_atom_site_label
_atom_site_type_symbol
_atom_site_fract_x
_atom_site_fract_y
_atom_site_fract_z
Cs1 Cs 0.000 0.000 0.000
Cs2 Cs 0.250 0.250 0.000
K1 K 0.001 0.256 0.025
K2 K 0.241 0.463 0.494
Rb1 Rb 0.000 0.500 0.000
Na1 Na 0.250 0.250 0.500
```

***

Entry 3:
Diffraction record for DyErTm3. The powder diffraction line list is theoretical, not measured: it uses the GGA-PBE geometry in Alexandria and Cu Kα, 1.54184 Å.
Kinematic intensities with the Lorentz-polarization factor, no thermal factor.

Main lines, by angle (10 to 90 degrees two-theta):
d 3.091, I 24, hkl 1 1 -2
d 2.775, I 24, hkl 0 2 2
d 2.701, I 100, hkl 2 2 1
d 2.065, I 16, hkl 1 3 0
d 1.785, I 20, hkl 3 1 2
d 1.587, I 20, hkl 2 4 3
d 1.501, I 22, hkl 3 4 0
d 1.489, I 11, hkl 2 3 -3
d 1.144, I 8, hkl 1 0 7
d 1.095, I 9, hkl 3 6 2

Cell and atoms:
```
data_DyErTm3
_chemical_formula_sum 'Dy2 Er2 Tm6'
_space_group_name_H-M_alt 'P -1'
_space_group_IT_number 2
_space_group_name_Hall '-P 1'
_cell_length_a 6.180
_cell_length_b 6.596
_cell_length_c 9.046
_cell_angle_alpha 72.39
_cell_angle_beta 89.99
_cell_angle_gamma 62.10
loop_
_atom_site_label
_atom_site_type_symbol
_atom_site_fract_x
_atom_site_fract_y
_atom_site_fract_z
Dy1 Dy 0.033 0.101 0.150
Er1 Er 0.366 0.100 0.650
Tm1 Tm 0.167 0.499 0.250
Tm2 Tm 0.234 0.700 0.549
Tm3 Tm 0.434 0.300 0.949
```